1.
Structure and theoretical PXRD pattern of TlCuSi (a DFT-relaxed cell (GGA-PBE, Alexandria); Cu Kα (λ = 1.5418 Å)).
Intensities are scaled so that the largest is 100.

Structure:
Cell: 4.1750 4.2770 7.6177 Å, 81.46 84.69 78.31°
Space group P-1 (No. 2)
Asymmetric unit:
Tl: 0.2471 0.2197 0.1488 [2 per cell]
Cu: 0.3127 0.7979 0.5160 [2 per cell]
Si: 0.1438 0.3031 0.6261 [2 per cell]

Main lines, sorted by position (2θ from 10° to 90°):
- hkl 0 1 1, 23.1°, I 60
- hkl 1 0 -1, 25.5°, I 61
- hkl 0 1 -1, 25.9°, I 58
- hkl 1 1 0, 27.6°, I 61
- hkl 1 1 1, 28.3°, I 59
- hkl 0 1 2, 29.9°, I 64
- hkl 1 0 2, 31.3°, I 100
- hkl -1 1 1, 35.2°, I 55
- hkl 0 0 3, 35.8°, I 60
- hkl 0 2 0, 43.6°, I 55

---

2.
Structure and theoretical PXRD pattern of YUCu4Si4 (a DFT-relaxed cell (GGA-PBE, Alexandria); Cu Kα (λ = 1.5418 Å)).
Intensities are scaled so that the largest is 100.

Structure:
Cell: 3.9729 3.9729 9.9834 Å, 90.00 90.00 90.00°
Space group P4/mmm (No. 123)
Asymmetric unit:
Y: 0.0000 0.0000 0.0000 [1 per cell]
U: 0.5000 0.5000 0.5000 [1 per cell]
Cu: 0.0000 0.5000 0.2486 [4 per cell]
Si: 0.0000 0.0000 0.3838 [2 per cell]
Si: 0.5000 0.5000 0.1189 [2 per cell]

Main lines, sorted by position (2θ from 10° to 90°):
- hkl 1 0 1, 24.1°, I 42
- hkl 1 0 3, 35.2°, I 46
- hkl 0 0 4, 36.0°, I 17
- hkl 1 1 2, 36.7°, I 100
- hkl 2 0 0, 45.7°, I 36
- hkl 1 0 5, 51.2°, I 18
- hkl 2 1 3, 58.9°, I 21
- hkl 2 0 4, 59.5°, I 15
- hkl 1 1 6, 65.2°, I 16
- hkl 3 1 2, 78.5°, I 21

---

3.
Structure and theoretical PXRD pattern of YCuSi2 (a DFT-relaxed cell (GGA-PBE, Alexandria); Cu Kα (λ = 1.5418 Å)).
Intensities are scaled so that the largest is 100.

Structure:
Cell: 13.3340 3.9902 10.3557 Å, 90.00 90.00 90.00°
Space group Pnma (No. 62)
Asymmetric unit:
Y: 0.0501 0.2500 0.2502 [4 per cell]
Y: 0.2004 0.7500 0.5291 [4 per cell]
Cu: 0.0522 0.2500 0.9534 [4 per cell]
Cu: 0.2067 0.7500 0.8226 [4 per cell]
Si: 0.0343 0.2500 0.5396 [4 per cell]
Si: 0.1137 0.2500 0.7405 [4 per cell]
Si: 0.1287 0.7500 0.0338 [4 per cell]
Si: 0.2089 0.7500 0.2378 [4 per cell]

Main lines, sorted by position (2θ from 10° to 90°):
- hkl 1 0 1, 10.8°, I 11
- hkl 0 0 4, 34.7°, I 25
- hkl 4 1 0, 35.1°, I 100
- hkl 2 1 3, 37.0°, I 33
- hkl 5 0 3, 42.9°, I 11
- hkl 0 2 0, 45.5°, I 26
- hkl 6 0 3, 48.7°, I 16
- hkl 4 1 4, 50.1°, I 18
- hkl 0 2 4, 58.4°, I 11
- hkl 2 1 7, 69.2°, I 13

---

4.
Structure and theoretical PXRD pattern of YCuSi2 (a DFT-relaxed cell (GGA-PBE, Alexandria); Cu Kα (λ = 1.5418 Å)).
Intensities are scaled so that the largest is 100.

Structure:
Cell: 7.3270 3.8299 5.3840 Å, 90.00 111.61 90.00°
Space group C2/m (No. 12)
Asymmetric unit:
Y: 0.0000 0.0000 0.0000 [2 per cell]
Cu: 0.0000 0.5000 0.5000 [2 per cell]
Si: 0.2256 0.0000 0.6396 [4 per cell]

Main lines, sorted by position (2θ from 10° to 90°):
- hkl 2 0 0, 26.2°, I 30
- hkl 1 1 -1, 29.4°, I 49
- hkl 1 1 1, 34.9°, I 100
- hkl 2 0 -2, 35.9°, I 68
- hkl 3 1 -1, 44.1°, I 60
- hkl 0 2 0, 47.5°, I 24
- hkl 2 0 2, 52.7°, I 14
- hkl 4 0 0, 53.8°, I 15
- hkl 2 2 -2, 60.9°, I 27
- hkl 1 1 3, 67.1°, I 13

---

5.
Structure and theoretical PXRD pattern of Y2Cu3Si (a DFT-relaxed cell (GGA-PBE, Alexandria); Cu Kα (λ = 1.5418 Å)).
Intensities are scaled so that the largest is 100.

Structure:
Cell: 3.7007 4.1292 7.3505 Å, 90.00 90.00 90.00°
Space group Pmm2 (No. 25)
Asymmetric unit:
Y: 0.0000 0.0000 0.0000 [1 per cell]
Y: 0.0000 0.5000 0.4953 [1 per cell]
Cu: 0.5000 0.0000 0.6553 [1 per cell]
Cu: 0.5000 0.5000 0.1716 [1 per cell]
Cu: 0.5000 0.5000 0.8348 [1 per cell]
Si: 0.5000 0.0000 0.3290 [1 per cell]

Main lines, sorted by position (2θ from 10° to 90°):
- hkl 1 0 2, 34.4°, I 50
- hkl 1 1 1, 34.8°, I 100
- hkl 0 1 3, 42.9°, I 51
- hkl 0 2 0, 43.9°, I 24
- hkl 2 0 0, 49.2°, I 17
- hkl 1 0 4, 55.9°, I 14
- hkl 1 2 2, 56.9°, I 22
- hkl 2 1 3, 67.3°, I 25
- hkl 2 2 0, 68.0°, I 12
- hkl 1 2 4, 73.6°, I 10

---

6.
Structure and theoretical PXRD pattern of Y2Cu3Si (a DFT-relaxed cell (GGA-PBE, Alexandria); Cu Kα (λ = 1.5418 Å)).
Intensities are scaled so that the largest is 100.

Structure:
Cell: 7.2945 8.4328 14.5876 Å, 90.00 90.00 90.00°
Space group Fmmm (No. 69)
Asymmetric unit:
Y: 0.2401 0.0000 0.0000 [8 per cell]
Y: 0.2500 0.2500 0.2500 [8 per cell]
Cu: 0.0000 0.0000 0.1702 [8 per cell]
Cu: 0.0000 0.2443 0.4155 [16 per cell]
Si: 0.0000 0.0000 0.3350 [8 per cell]

Main lines, sorted by position (2θ from 10° to 90°):
- hkl 1 1 1, 17.2°, I 2
- hkl 0 0 4, 24.4°, I 9
- hkl 2 2 2, 34.8°, I 100
- hkl 0 4 0, 42.9°, I 53
- hkl 4 0 0, 50.0°, I 13
- hkl 2 0 8, 56.4°, I 24
- hkl 4 4 0, 68.0°, I 25
- hkl 2 4 8, 73.4°, I 21
- hkl 0 0 12, 78.7°, I 8
- hkl 6 2 2, 83.9°, I 7

---

7.
Structure and theoretical PXRD pattern of YZnCu6Si (a DFT-relaxed cell (GGA-PBE, Alexandria); Cu Kα (λ = 1.5418 Å)).
Intensities are scaled so that the largest is 100.

Structure:
Cell: 6.4897 7.9363 11.0462 Å, 90.00 90.00 90.00°
Space group Imma (No. 74)
Asymmetric unit:
Y: 0.0000 0.2500 0.2002 [4 per cell]
Zn: 0.2500 0.2500 0.7500 [4 per cell]
Cu: 0.0000 0.2500 0.4793 [4 per cell]
Cu: 0.0000 0.2500 0.9094 [4 per cell]
Cu: 0.1888 0.0066 0.6161 [16 per cell]
Si: 0.0000 0.0000 0.0000 [4 per cell]

Main lines, sorted by position (2θ from 10° to 90°):
- hkl 2 1 1, 30.9°, I 50
- hkl 2 2 0, 35.7°, I 100
- hkl 1 2 3, 36.0°, I 100
- hkl 1 1 4, 37.2°, I 49
- hkl 2 1 3, 38.7°, I 38
- hkl 0 2 4, 39.8°, I 87
- hkl 3 0 1, 42.6°, I 31
- hkl 0 4 0, 45.7°, I 82
- hkl 3 2 1, 48.6°, I 30
- hkl 2 2 4, 49.0°, I 45

---

8.
Structure and theoretical PXRD pattern of Yb3Cu4Si4 (a DFT-relaxed cell (GGA-PBE, Alexandria); Cu Kα (λ = 1.5418 Å)).
Intensities are scaled so that the largest is 100.

Structure:
Cell: 4.1713 6.6033 13.6261 Å, 90.00 90.00 90.00°
Space group Immm (No. 71)
Asymmetric unit:
Yb: 0.0000 0.0000 0.0000 [2 per cell]
Yb: 0.0000 0.5000 0.1319 [4 per cell]
Cu: 0.0000 0.3080 0.3305 [8 per cell]
Si: 0.0000 0.0000 0.2185 [4 per cell]
Si: 0.0000 0.1776 0.5000 [4 per cell]

Main lines, sorted by position (2θ from 10° to 90°):
- hkl 1 0 1, 22.3°, I 22
- hkl 0 1 3, 23.8°, I 32
- hkl 1 1 2, 28.5°, I 26
- hkl 1 2 1, 35.3°, I 88
- hkl 0 1 5, 35.6°, I 27
- hkl 1 1 4, 36.7°, I 100
- hkl 1 2 3, 40.1°, I 19
- hkl 2 0 0, 43.4°, I 33
- hkl 0 3 3, 45.8°, I 35
- hkl 2 3 3, 64.9°, I 24